For Pm5Ga2O2, a DFT-relaxed cell (GGA-PBE, Alexandria) gives the simulated X-ray powder pattern in this record (copper Kα).
Neutral-atom scattering factors, no anomalous dispersion.

Top 10 peaks for 10° ≤ 2θ ≤ 80°, low angle first:
(0 5 1), d = 3.292 Å, rel. 53; (2 1 1), d = 3.033 Å, rel. 34; (1 1 2), d = 3.010 Å, rel. 27; (2 4 0), d = 2.780 Å, rel. 100; (0 4 2), d = 2.756 Å, rel. 54; (2 0 2), d = 2.420 Å, rel. 53; (0 8 0), d = 2.352 Å, rel. 25; (2 9 1), d = 1.728 Å, rel. 25; (4 0 0), d = 1.723 Å, rel. 25; (2 0 4), d = 1.526 Å, rel. 22

Cell and atoms:
abc: 6.8913 18.8121 6.8006
angles: 90.00 90.00 90.00
Space group Imma (No. 74)
Unique sites:
Pm1 0.0000 0.1377 0.0988 (multiplicity 8)
Pm2 0.2500 0.0214 0.7500 (multiplicity 8)
Pm3 0.2500 0.2500 0.7500 (multiplicity 4)
Ga1 0.0000 0.1287 0.5387 (multiplicity 8)
O1 0.0000 0.0000 0.0000 (multiplicity 4)
O2 0.0000 0.2500 0.9879 (multiplicity 4)



For Pm4GaO, a DFT-relaxed cell (GGA-PBE, Alexandria) gives the simulated X-ray powder pattern in this record (copper Kα).
Neutral-atom scattering factors, no anomalous dispersion.

Top 10 peaks for 10° ≤ 2θ ≤ 80°, low angle first:
(1 3 1), d = 3.351 Å, rel. 24; (0 2 2), d = 3.146 Å, rel. 30; (1 5 0), d = 2.925 Å, rel. 70; (1 1 2), d = 2.768 Å, rel. 55; (0 6 1), d = 2.726 Å, rel. 15; (1 5 1), d = 2.683 Å, rel. 60; (2 0 0), d = 2.536 Å, rel. 100; (0 8 1), d = 2.123 Å, rel. 15; (2 2 2), d = 1.975 Å, rel. 16; (2 10 1), d = 1.428 Å, rel. 22

Cell and atoms:
abc: 5.0726 17.8965 6.7209
angles: 90.00 90.00 90.00
Space group Cmc2_1 (No. 36)
Unique sites:
Pm1 0.0000 0.0273 0.0000 (multiplicity 4)
Pm2 0.0000 0.1650 0.3670 (multiplicity 4)
Pm3 0.0000 0.2108 0.8759 (multiplicity 4)
Pm4 0.0000 0.4100 0.1626 (multiplicity 4)
Ga1 0.0000 0.3716 0.6204 (multiplicity 4)
O1 0.0000 0.0919 0.6724 (multiplicity 4)